Record 1
This entry pairs a crystal structure of Mn2Si4O11 with its calculated X-ray diffraction stick pattern. Radiation: Cu Kα (weighted mean of Kα1 and Kα2). Structure: the GGA+U geometry in the Materials Project.

Structural model:
```
34
Lattice="7.155 0.000 0.000 -2.558 7.150 0.000 -1.941 -1.789 8.035" Properties=species:S:1:pos:R:3 pbc="T T T"
Mn -0.189 2.444 0.894
Mn -0.748 2.878 7.146
Mn 3.403 2.483 0.889
Mn 2.844 2.917 7.141
Si -2.219 5.152 2.247
Si -0.191 -1.464 7.190
Si -0.319 1.787 4.214
Si 0.871 5.110 2.291
Si 1.785 0.251 5.744
Si 2.974 3.574 3.821
Si 2.846 6.826 0.845
Si 4.874 0.209 5.788
O -1.588 -1.154 6.376
O -1.567 0.733 4.442
O -2.116 1.339 7.025
O -2.752 4.072 7.491
O -0.338 2.407 2.733
O -0.675 5.439 2.586
O -0.457 2.968 5.331
O 1.814 1.362 0.438
O 1.117 -1.150 6.257
O 1.039 0.877 4.458
O 1.042 4.049 1.005
O 1.613 1.313 7.030
O 1.617 4.485 3.577
O 1.539 6.511 1.778
O 0.841 3.999 7.597
O 3.112 2.393 2.704
O 3.331 -0.077 5.449
O 2.993 2.954 5.302
O 5.408 1.289 0.544
O 4.771 4.023 1.010
O 4.222 4.628 3.592
O 4.244 6.515 1.659
```

Main lines, in order of falling intensity (2θ = 10–90°):
| 2theta | d (Å) | Rel. int. | (hkl) |
| --- | --- | --- | --- |
| 29.79 | 2.999 | 100 | 2 -2 0 |
| 11.01 | 8.035 | 93 | 0 0 1 |
| 27.93 | 3.195 | 59 | 0 1 2 |
| 33.00 | 2.715 | 53 | 2 1 -1 |
| 30.06 | 2.973 | 51 | 0 2 1 |
| 12.68 | 6.979 | 47 | 0 1 0 |
| 51.43 | 1.777 | 28 | -4 1 1 |
| 25.69 | 3.467 | 24 | 2 -1 0 |

=====

Record 2
This entry pairs a crystal structure of Li3Fe4B4O12 with its calculated X-ray diffraction stick pattern. Radiation: Cu Kα (weighted mean of Kα1 and Kα2). Structure: the GGA+U geometry in the Materials Project.

Structural model:
```
46
Lattice="5.253 0.000 0.000 0.000 9.063 0.000 -5.032 0.000 10.223" Properties=species:S:1:pos:R:3 pbc="T T T"
Li 0.000 2.113 0.000
Li -2.516 6.950 5.111
Li 0.139 2.311 5.132
Li 2.655 6.753 0.020
Li 3.658 2.194 2.661
Li 1.142 6.869 7.772
Fe -2.463 0.843 5.523
Fe 0.053 8.220 0.412
Fe 1.070 0.658 2.933
Fe -1.446 8.406 8.045
Fe 2.638 3.673 0.327
Fe 0.122 5.391 5.438
Fe 1.130 3.735 8.000
Fe 3.646 5.328 2.888
B -2.466 3.816 5.456
B 0.050 5.247 0.344
B 0.971 3.781 2.959
B -1.545 5.282 8.070
B 2.675 0.737 0.413
B 0.160 8.327 5.525
B 1.166 0.739 8.067
B 3.681 8.325 2.956
O -4.450 4.010 10.146
O -1.934 5.054 5.034
O -2.830 0.697 7.561
O -0.314 8.367 2.450
O -1.724 2.693 5.365
O 0.792 6.370 0.254
O 1.318 0.808 0.690
O -1.198 8.255 5.801
O 0.340 2.576 3.059
O -2.176 6.487 8.170
O -2.250 4.114 8.395
O 0.266 4.949 3.283
O 0.750 0.454 5.124
O 3.265 8.609 0.012
O 2.326 3.876 2.573
O -0.189 5.188 7.685
O 3.456 1.888 0.592
O 0.940 7.175 5.703
O 1.447 3.783 5.942
O 3.963 5.280 0.830
O 0.519 1.968 8.248
O 3.034 7.095 3.137
O 3.021 0.434 3.315
O 0.505 8.629 8.426
```

Main lines, in order of falling intensity (2θ = 10–90°):
| 2theta | d (Å) | Rel. int. | (hkl) |
| --- | --- | --- | --- |
| 35.11 | 2.556 | 100 | 0 0 4 |
| 34.21 | 2.621 | 95 | 1 3 -1 |
| 19.57 | 4.536 | 92 | 0 2 0 |
| 21.55 | 4.124 | 80 | 1 1 -2 |
| 25.99 | 3.428 | 60 | 1 1 1 |
| 40.51 | 2.227 | 54 | 2 2 -1 |
| 21.45 | 4.143 | 46 | 0 2 1 |
| 26.49 | 3.365 | 37 | 1 1 -3 |

=====

Record 3
This entry pairs a crystal structure of LiFe4B4O12 with its calculated X-ray diffraction stick pattern. Radiation: Cu Kα (weighted mean of Kα1 and Kα2). Structure: the GGA+U geometry in the Materials Project.

Structural model:
```
42
Lattice="5.205 0.000 0.000 -0.091 9.223 0.000 -0.111 -0.141 10.200" Properties=species:S:1:pos:R:3 pbc="T T T"
Li 0.000 0.000 0.000
Li 0.804 7.719 7.315
Fe -0.069 3.011 10.104
Fe -0.019 6.028 4.990
Fe 0.855 1.627 2.444
Fe 0.804 4.530 7.555
Fe 2.441 7.461 10.062
Fe 2.572 1.447 5.030
Fe 3.429 0.042 7.574
Fe 3.450 6.217 2.409
B -0.050 3.028 5.016
B 0.880 4.627 2.453
B 0.869 1.463 7.624
B 2.570 1.388 10.151
B 2.608 7.658 5.035
B 3.435 0.011 2.395
B 3.356 6.122 7.488
B 5.011 6.063 10.037
O 0.004 5.553 3.033
O 0.210 0.286 7.826
O 0.321 3.457 1.907
O 0.372 2.686 8.125
O 0.350 4.858 9.534
O 0.518 4.204 5.547
O 0.448 7.254 9.873
O 0.810 2.106 4.407
O 1.308 1.578 0.352
O 1.292 7.366 5.292
O 2.088 1.491 6.968
O 2.193 4.843 2.428
O 2.605 0.972 2.991
O 2.618 4.974 7.454
O 2.787 8.017 2.045
O 2.795 7.312 7.903
O 3.088 0.189 9.717
O 3.161 8.875 5.402
O 3.454 2.652 0.004
O 3.444 6.702 4.453
O 3.842 2.807 5.092
O 3.884 6.136 0.459
O 4.745 0.309 2.115
O 4.733 6.106 7.089
```

Main lines, in order of falling intensity (2θ = 10–90°):
| 2theta | d (Å) | Rel. int. | (hkl) |
| --- | --- | --- | --- |
| 21.31 | 4.170 | 100 | -1 1 1 |
| 19.67 | 4.513 | 95 | 1 1 0 |
| 35.19 | 2.550 | 86 | 0 0 4 |
| 26.22 | 3.399 | 55 | -1 1 2 |
| 26.28 | 3.391 | 37 | 1 -1 2 |
| 21.40 | 4.152 | 36 | 1 1 -1 |
| 34.02 | 2.635 | 36 | 1 3 0 |
| 25.87 | 3.444 | 34 | 0 2 -2 |

=====

Record 4
This entry pairs a crystal structure of LiCoCSO7 with its calculated X-ray diffraction stick pattern. Radiation: Cu Kα (weighted mean of Kα1 and Kα2). Structure: the GGA+U geometry in the Materials Project.

Structural model:
```
22
Lattice="5.133 0.000 0.000 0.000 6.465 0.000 -0.545 0.000 8.805" Properties=species:S:1:pos:R:3 pbc="T T T"
Li 0.970 0.000 2.640
Li 3.618 3.233 6.165
Co 0.650 1.588 7.440
Co 3.938 4.820 1.365
C 1.086 1.752 5.021
C 3.501 4.985 3.784
S 0.885 4.913 8.147
S 3.703 1.681 0.658
O -0.114 1.804 5.541
O 0.726 5.024 0.647
O 0.414 3.748 7.367
O 0.631 6.111 7.299
O 1.324 1.511 3.821
O 2.233 1.588 0.392
O 2.018 1.918 5.940
O 2.570 5.151 2.865
O 2.354 4.820 8.413
O 3.264 4.744 4.984
O 3.957 2.878 1.506
O 4.174 0.515 1.438
O 3.862 1.791 8.158
O 4.702 5.036 3.265
```

Main lines, in order of falling intensity (2θ = 10–90°):
| 2theta | d (Å) | Rel. int. | (hkl) |
| --- | --- | --- | --- |
| 10.05 | 8.805 | 100 | 0 0 1 |
| 27.58 | 3.234 | 66 | 0 2 0 |
| 17.01 | 5.211 | 38 | 0 1 1 |
| 20.59 | 4.314 | 37 | 1 0 1 |
| 19.50 | 4.552 | 32 | 1 0 -1 |
| 25.86 | 3.446 | 31 | 1 0 -2 |
| 24.81 | 3.588 | 17 | 1 1 1 |
| 38.87 | 2.317 | 14 | 1 1 3 |

=====

Record 5
This entry pairs a crystal structure of K6MgCr2O8 with its calculated X-ray diffraction stick pattern. Radiation: Cu Kα (weighted mean of Kα1 and Kα2). Structure: the GGA+U geometry in the Materials Project.

Structural model:
```
17
Lattice="5.553 0.000 0.000 0.000 5.964 0.000 0.000 0.000 10.625" Properties=species:S:1:pos:R:3 pbc="T T T"
K 0.000 0.000 0.000
K 0.000 2.982 2.803
K 0.000 2.982 7.821
K 2.777 0.000 2.250
K 2.777 0.000 8.375
K 2.777 2.982 5.312
Mg 2.777 0.000 5.312
Cr 0.000 0.000 5.312
Cr 2.777 2.982 0.000
O 1.366 0.968 6.300
O 1.366 4.995 4.324
O 1.733 1.964 0.950
O 1.733 4.000 9.675
O 3.821 1.964 9.675
O 3.821 4.000 0.950
O 4.187 0.968 4.324
O 4.187 4.995 6.300
```

Main lines, in order of falling intensity (2θ = 10–90°):
| 2theta | d (Å) | Rel. int. | (hkl) |
| --- | --- | --- | --- |
| 27.64 | 3.228 | 100 | 1 1 2 |
| 44.59 | 2.032 | 19 | 2 2 0 |
| 29.96 | 2.982 | 19 | 0 2 0 |
| 47.36 | 1.919 | 14 | 2 0 4 |
| 45.75 | 1.983 | 14 | 0 2 4 |
| 51.79 | 1.765 | 12 | 1 3 2 |
| 16.69 | 5.312 | 11 | 0 0 2 |
| 17.05 | 5.201 | 10 | 0 1 1 |

=====

Record 6
This entry pairs a crystal structure of Mg6NbCrO8 with its calculated X-ray diffraction stick pattern. Radiation: Cu Kα (weighted mean of Kα1 and Kα2). Structure: the GGA+U geometry in the Materials Project.

Structural model:
```
16
Lattice="4.295 0.000 0.000 0.000 4.295 0.000 0.000 0.000 8.996" Properties=species:S:1:pos:R:3 pbc="T T T"
Mg 0.000 0.000 0.000
Mg 0.000 0.000 4.498
Mg 0.000 2.147 2.204
Mg 0.000 2.147 6.792
Mg 2.147 0.000 2.204
Mg 2.147 0.000 6.792
Nb 2.147 2.147 4.498
Cr 2.147 2.147 0.000
O 0.000 0.000 2.255
O 0.000 0.000 6.741
O 0.000 2.147 0.000
O 0.000 2.147 4.498
O 2.147 0.000 0.000
O 2.147 0.000 4.498
O 2.147 2.147 2.260
O 2.147 2.147 6.736
```

Main lines, in order of falling intensity (2θ = 10–90°):
| 2theta | d (Å) | Rel. int. | (hkl) |
| --- | --- | --- | --- |
| 42.08 | 2.147 | 100 | 2 0 0 |
| 59.52 | 1.553 | 63 | 2 0 4 |
| 40.09 | 2.249 | 58 | 0 0 4 |
| 35.67 | 2.517 | 51 | 1 1 2 |
| 20.68 | 4.295 | 35 | 1 0 0 |
| 28.74 | 3.106 | 30 | 1 0 2 |
| 61.02 | 1.518 | 29 | 2 2 0 |
| 75.55 | 1.258 | 28 | 2 2 4 |

=====

Record 7
This entry pairs a crystal structure of Li3Mn4O8 with its calculated X-ray diffraction stick pattern. Radiation: Cu Kα (weighted mean of Kα1 and Kα2). Structure: the GGA+U geometry in the Materials Project.

Structural model:
```
30
Lattice="6.081 0.000 0.000 -0.351 6.097 0.000 -0.062 -0.097 8.123" Properties=species:S:1:pos:R:3 pbc="T T T"
Li 0.000 0.000 0.000
Li -0.031 -0.048 4.061
Li 1.180 4.606 2.028
Li 2.865 3.049 0.000
Li 2.834 3.000 4.061
Li 4.489 1.395 6.094
Mn -0.206 3.000 4.061
Mn 1.207 4.500 6.090
Mn 1.416 1.515 2.030
Mn 1.402 1.451 6.085
Mn 3.041 0.000 0.000
Mn 4.266 4.550 2.037
Mn 4.253 4.486 6.093
Mn 4.461 1.500 2.033
O -0.290 5.828 6.098
O -0.105 3.018 6.002
O 1.213 1.674 3.998
O 1.106 4.406 4.143
O 1.306 4.597 8.037
O 1.633 1.326 0.055
O 2.683 3.198 6.086
O 2.530 5.989 6.184
O 3.138 0.012 1.939
O 2.985 2.803 2.037
O 4.035 4.674 8.068
O 4.362 1.404 0.086
O 4.563 1.595 3.979
O 4.455 4.326 4.125
O 5.774 2.982 2.121
O 5.959 0.172 2.025
```

Main lines, in order of falling intensity (2θ = 10–90°):
| 2theta | d (Å) | Rel. int. | (hkl) |
| --- | --- | --- | --- |
| 18.13 | 4.894 | 100 | 0 1 -1 |
| 40.72 | 2.216 | 41 | 2 -2 0 |
| 43.26 | 2.092 | 36 | 2 2 0 |
| 44.62 | 2.031 | 33 | 0 0 4 |
| 21.88 | 4.061 | 21 | 0 0 2 |
| 21.24 | 4.183 | 18 | 1 1 0 |
| 29.84 | 2.994 | 16 | 1 -1 2 |
| 36.46 | 2.465 | 12 | 1 0 3 |

=====

Record 8
This entry pairs a crystal structure of MgMn6P6O24 with its calculated X-ray diffraction stick pattern. Radiation: Cu Kα (weighted mean of Kα1 and Kα2). Structure: the GGA+U geometry in the Materials Project.

Structural model:
```
37
Lattice="8.538 0.000 0.000 -2.590 8.257 0.000 -2.839 -3.986 7.844" Properties=species:S:1:pos:R:3 pbc="T T T"
Mg 0.000 0.000 0.000
Mn -0.691 -1.048 2.950
Mn -1.283 3.273 4.247
Mn 1.388 6.206 1.229
Mn 3.909 2.525 0.557
Mn 2.836 1.718 5.303
Mn 5.421 -1.322 6.293
P -2.539 1.249 6.466
P -0.462 -2.674 5.791
P 2.174 0.366 2.420
P 1.620 4.781 4.113
P 4.381 5.554 0.308
P 6.753 1.720 1.641
O -1.830 -2.879 6.567
O -2.724 4.296 5.008
O -0.787 2.475 2.584
O -0.736 -1.477 4.887
O -1.709 1.679 5.244
O 0.879 -0.193 1.750
O -1.934 -0.033 7.141
O -2.714 2.351 7.532
O 0.664 -2.432 6.808
O 0.091 4.565 4.348
O 2.644 1.638 1.664
O 1.872 0.667 3.884
O 3.271 -0.725 2.345
O 1.908 4.996 2.594
O 2.924 6.075 0.123
O 1.624 0.151 7.498
O 2.474 3.627 4.610
O 4.515 -2.140 4.856
O 2.425 2.501 7.242
O 5.420 2.505 1.727
O 4.865 5.585 1.745
O 6.556 0.257 2.050
O 4.627 0.639 5.951
O 7.370 1.694 0.196
```

Main lines, in order of falling intensity (2θ = 10–90°):
| 2theta | d (Å) | Rel. int. | (hkl) |
| --- | --- | --- | --- |
| 21.79 | 4.079 | 100 | 2 0 -1 |
| 19.96 | 4.449 | 59 | 1 0 1 |
| 20.38 | 4.357 | 48 | 1 0 -2 |
| 25.72 | 3.464 | 48 | 2 -2 0 |
| 21.92 | 4.055 | 43 | 2 -1 0 |
| 21.05 | 4.220 | 34 | 1 1 -2 |
| 20.58 | 4.316 | 31 | 1 1 0 |
| 30.30 | 2.950 | 27 | 0 1 2 |